No. 1
The following is a simulated X-ray diffraction stick pattern of SmY2Ho. It was derived from a DFT-relaxed cell (GGA-PBE, Alexandria), using copper Kα.

The 8 most intense peaks (2θ = 15–90°), in order of rising 2θ:
two_theta  I/Imax
15.22  8.6
30.66  100.0
35.55  50.4
51.09  17.8
51.21  17.6
60.79  31.4
60.92  10.4
63.78  9.0

Structural model:
```
SmY2Ho
1.0
1.7878 1.0322 11.6393
-1.7878 1.0322 11.6393
0.0000 -2.0644 11.6393
Sm Y Ho
1 2 1
direct
0.0000 0.0000 0.0000
0.2491 0.2491 0.2491
0.7509 0.7509 0.7509
0.5000 0.5000 0.5000
```

No. 2
The following is a simulated X-ray diffraction stick pattern of Sm4Y4Ho. It was derived from a DFT-relaxed cell (GGA-PBE, Alexandria), using copper Kα.

The 8 most intense peaks (2θ = 15–90°), in order of rising 2θ:
two_theta  I/Imax
30.48  100.0
35.34  50.4
50.85  35.6
60.45  42.1
63.44  12.1
82.84  17.1
85.46  10.6
85.57  5.3

Structural model:
```
Sm4Y4Ho
1.0
-5.3901 5.3901 2.5369
5.3901 -5.3901 2.5369
5.3901 5.3901 -2.5369
Sm Y Ho
4 4 1
direct
0.0000 0.3329 0.3329
0.0000 0.6671 0.6671
0.3329 0.0000 0.3329
0.6671 0.0000 0.6671
0.3341 0.3341 0.6682
0.3341 0.6659 0.0000
0.6659 0.3341 0.0000
0.6659 0.6659 0.3318
0.0000 0.0000 0.0000
```

No. 3
The following is a simulated X-ray diffraction stick pattern of Sm2Y12Ho5. It was derived from a DFT-relaxed cell (GGA-PBE, Alexandria), using copper Kα.

The 8 most intense peaks (2θ = 15–90°), in order of rising 2θ:
two_theta  I/Imax
29.04  29.8
30.20  100.0
30.32  99.2
31.44  29.0
31.89  44.6
32.63  67.5
33.68  25.7
33.80  47.5

Structural model:
```
Sm2Y12Ho5
1.0
6.5402 0.0000 0.0000
3.0811 8.6003 0.0000
1.2754 4.2199 10.9643
Sm Y Ho
2 12 5
direct
0.0425 0.1831 0.4849
0.9575 0.8169 0.5151
0.0543 0.5249 0.7888
0.0690 0.7856 0.9500
0.1425 0.1475 0.7695
0.3055 0.9732 0.3001
0.3917 0.6294 0.2173
0.3933 0.8076 0.6499
0.6067 0.1924 0.3501
0.6083 0.3706 0.7827
0.6945 0.0268 0.6999
0.8575 0.8525 0.2305
0.9310 0.2144 0.0500
0.9457 0.4751 0.2112
0.2865 0.4369 0.5227
0.3764 0.3533 0.0613
0.5000 0.0000 0.0000
0.6236 0.6467 0.9387
0.7135 0.5631 0.4773
```

No. 4
The following is a simulated X-ray diffraction stick pattern of Sm9Y2Ho3. It was derived from a DFT-relaxed cell (GGA-PBE, Alexandria), using copper Kα.

The 8 most intense peaks (2θ = 15–90°), in order of rising 2θ:
two_theta  I/Imax
25.67  30.6
29.93  37.7
30.94  67.0
32.95  100.0
34.28  20.5
36.07  29.3
53.70  45.0
60.47  17.9

Structural model:
```
Sm9Y2Ho3
1.0
9.0266 0.0000 0.0000
-4.5133 7.8173 0.0000
0.0000 0.0000 13.8800
Sm Y Ho
18 4 6
direct
0.0830 0.4816 0.2500
0.1323 0.7237 0.0424
0.1323 0.7237 0.4576
0.2763 0.4086 0.0424
0.2763 0.4086 0.4576
0.3986 0.9170 0.2500
0.4086 0.1323 0.5424
0.4086 0.1323 0.9576
0.4816 0.3986 0.7500
0.5184 0.6014 0.2500
0.5914 0.8677 0.0424
0.5914 0.8677 0.4576
0.6014 0.0830 0.7500
0.7237 0.5914 0.5424
0.7237 0.5914 0.9576
0.8677 0.2763 0.5424
0.8677 0.2763 0.9576
0.9170 0.5184 0.7500
0.3333 0.6667 0.6419
0.3333 0.6667 0.8581
0.6667 0.3333 0.1419
0.6667 0.3333 0.3581
0.0788 0.2505 0.7500
0.1717 0.9212 0.7500
0.2505 0.1717 0.2500
0.7495 0.8283 0.7500
0.8283 0.0788 0.2500
0.9212 0.7495 0.2500
```

No. 5
The following is a simulated X-ray diffraction stick pattern of Sm4Y5Ho. It was derived from a DFT-relaxed cell (GGA-PBE, Alexandria), using copper Kα.

The 8 most intense peaks (2θ = 15–90°), in order of rising 2θ:
two_theta  I/Imax
26.23  16.5
26.87  27.4
30.92  27.8
31.84  24.3
32.33  20.0
33.76  100.0
45.35  15.5
62.08  11.1

Structural model:
```
Sm4Y5Ho
1.0
8.6753 -1.7748 0.0000
8.6753 1.7748 0.0000
-0.0262 0.0000 11.0759
Sm Y Ho
4 5 1
direct
0.0284 0.0284 0.2488
0.3475 0.3475 0.2499
0.6525 0.6525 0.7501
0.9716 0.9716 0.7512
0.1738 0.1738 0.0558
0.1743 0.1743 0.4425
0.5000 0.5000 0.5000
0.8257 0.8257 0.5575
0.8262 0.8262 0.9442
0.5000 0.5000 0.0000
```

No. 6
The following is a simulated X-ray diffraction stick pattern of Sm2Y7Ho. It was derived from a DFT-relaxed cell (GGA-PBE, Alexandria), using copper Kα.

The 8 most intense peaks (2θ = 15–90°), in order of rising 2θ:
two_theta  I/Imax
30.07  52.2
30.43  56.5
30.63  100.0
31.63  23.1
33.08  48.3
36.35  52.5
50.55  22.3
56.69  19.4

Structural model:
```
Sm2Y7Ho
1.0
3.2499 -14.6877 0.0000
3.2499 14.6877 0.0000
0.0000 0.0000 3.4661
Sm Y Ho
2 7 1
direct
0.2070 0.7930 0.0000
0.7930 0.2070 0.0000
0.1440 0.3412 0.0000
0.3117 0.6883 0.5000
0.3412 0.1440 0.0000
0.5000 0.5000 0.0000
0.6588 0.8560 0.0000
0.6883 0.3117 0.5000
0.8560 0.6588 0.0000
0.0000 0.0000 0.5000
```

No. 7
The following is a simulated X-ray diffraction stick pattern of SmY6Ho2. It was derived from a DFT-relaxed cell (GGA-PBE, Alexandria), using copper Kα.

The 8 most intense peaks (2θ = 15–90°), in order of rising 2θ:
two_theta  I/Imax
31.19  48.6
31.43  90.8
31.68  47.5
31.92  100.0
45.05  32.3
55.96  15.5
56.88  17.9
62.77  27.9

Structural model:
```
SmY6Ho2
1.0
10.8383 -4.8212 0.0000
10.8383 4.8212 0.0000
-1.5080 0.0000 5.5343
Sm Y Ho
2 12 4
direct
0.2495 0.7505 0.7500
0.7505 0.2495 0.2500
0.0023 0.1663 0.8024
0.0834 0.5826 0.5832
0.1663 0.0023 0.3024
0.3339 0.4978 0.1339
0.4174 0.9166 0.9168
0.4978 0.3339 0.6339
0.5022 0.6661 0.3661
0.5826 0.0834 0.0832
0.6661 0.5022 0.8661
0.8337 0.9977 0.6976
0.9166 0.4174 0.4168
0.9977 0.8337 0.1976
0.1679 0.3320 0.0347
0.3320 0.1679 0.5347
0.6680 0.8321 0.4653
0.8321 0.6680 0.9653
```

No. 8
The following is a simulated X-ray diffraction stick pattern of Sm3Y2Ho. It was derived from a DFT-relaxed cell (GGA-PBE, Alexandria), using copper Kα.

The 8 most intense peaks (2θ = 15–90°), in order of rising 2θ:
two_theta  I/Imax
29.65  29.7
30.81  31.5
32.58  100.0
37.01  16.3
50.67  23.4
55.92  21.4
60.49  27.4
61.55  16.0

Structural model:
```
Sm3Y2Ho
1.0
5.4057 -3.1196 0.0000
5.4057 3.1196 0.0000
0.0000 0.0000 11.6087
Sm Y Ho
6 4 2
direct
0.0000 0.0000 0.0000
0.0000 0.0000 0.5000
0.3343 0.3343 0.0000
0.3343 0.3343 0.5000
0.6657 0.6657 0.0000
0.6657 0.6657 0.5000
0.0004 0.3327 0.2500
0.9996 0.6673 0.7500
0.3327 0.0004 0.7500
0.6673 0.9996 0.2500
0.3339 0.6661 0.2500
0.6661 0.3339 0.7500
```